Record 1
Diffraction record for SmHoTm2Th. The X-ray diffraction stick pattern is calculated, not measured: it uses a PBE-relaxed structure and Cu Kα, 1.54184 Å.

Cell and atoms:
```
data_SmHoTm2Th
_symmetry_space_group_name_H-M 'P 1 2/m 1'
_symmetry_Int_Tables_number 10
_symmetry_space_group_name_Hall '-P 2y'
_cell_length_a 3.5221
_cell_length_b 5.5856
_cell_length_c 8.6196
_cell_angle_alpha 90.00
_cell_angle_beta 90.10
_cell_angle_gamma 90.00
loop_
_atom_site_label
_atom_site_type_symbol
_atom_site_fract_x
_atom_site_fract_y
_atom_site_fract_z
_atom_site_occupancy
Sm1 Sm 0.0000 0.0000 0.0000 1
Ho1 Ho 0.5000 0.0000 0.5000 1
Tm1 Tm 0.0016 0.5000 0.3215 1
Th1 Th 0.5000 0.5000 0.0000 1
```

Main lines, by intensity (2θ = 5–70°):
2theta, I/Imax, hkl
31.78, 100, 1 1 1
32.05, 40, 0 2 0
35.12, 26, 0 1 3
36.67, 26, 1 1 -2
62.22, 20, 1 1 -5
32.84, 20, 1 0 -2
56.95, 19, 1 3 1
15.87, 17, 0 1 0
20.61, 17, 0 0 2
31.13, 16, 0 0 3

=====

Record 2
Diffraction record for Sm2Ho4TmTh. The X-ray diffraction stick pattern is calculated, not measured: it uses a PBE-relaxed structure and Cu Kα, 1.54184 Å.

Cell and atoms:
```
data_Sm2Ho4TmTh
_symmetry_space_group_name_H-M 'C 1 2/m 1'
_symmetry_Int_Tables_number 12
_symmetry_space_group_name_Hall '-C 2y'
_cell_length_a 9.9728
_cell_length_b 7.1238
_cell_length_c 7.1281
_cell_angle_alpha 90.00
_cell_angle_beta 90.06
_cell_angle_gamma 90.00
loop_
_atom_site_label
_atom_site_type_symbol
_atom_site_fract_x
_atom_site_fract_y
_atom_site_fract_z
_atom_site_occupancy
Sm1 Sm 0.0000 0.0000 0.0000 1
Sm2 Sm 0.0000 0.5000 0.5000 1
Ho1 Ho 0.2500 0.2500 0.2482 1
Tm1 Tm 0.0000 0.0000 0.5000 1
Th1 Th 0.0000 0.5000 0.0000 1
```

Main lines, by intensity (2θ = 5–70°):
2theta, I/Imax, hkl
30.84, 100, 2 2 0
35.64, 34, 0 2 2
61.05, 29, 2 4 2
51.57, 24, 4 2 2
36.02, 17, 4 0 0
61.57, 14, 6 2 0
64.26, 12, 4 4 0
51.28, 12, 0 4 0
19.74, 1, 1 1 1

=====

Record 3
Diffraction record for Sm2YHoTh. The X-ray diffraction stick pattern is calculated, not measured: it uses a PBE-relaxed structure and Cu Kα, 1.54184 Å.

Cell and atoms:
```
data_Sm2YHoTh
_symmetry_space_group_name_H-M 'P 1 2/c 1'
_symmetry_Int_Tables_number 13
_symmetry_space_group_name_Hall '-P 2yc'
_cell_length_a 8.5295
_cell_length_b 6.3749
_cell_length_c 6.3724
_cell_angle_alpha 90.00
_cell_angle_beta 95.55
_cell_angle_gamma 90.00
loop_
_atom_site_label
_atom_site_type_symbol
_atom_site_fract_x
_atom_site_fract_y
_atom_site_fract_z
_atom_site_occupancy
Sm1 Sm 0.1879 0.2009 0.2810 1
Y1 Y 0.5000 0.5000 0.0000 1
Ho1 Ho 0.0000 0.3180 0.7500 1
Th1 Th 0.5000 0.0499 0.7500 1
```

Main lines, by intensity (2θ = 5–70°):
2theta, I/Imax, hkl
29.93, 100, 1 2 0
28.14, 44, 0 0 2
27.90, 41, 2 1 -1
31.49, 26, 0 1 2
34.15, 23, 1 1 2
32.73, 23, 1 2 -1
52.17, 20, 2 1 3
20.93, 20, 2 0 0
17.40, 19, 1 1 0
43.14, 18, 3 1 -2

=====

Record 4
Diffraction record for Sm8Ho6Tl. The X-ray diffraction stick pattern is calculated, not measured: it uses a PBE-relaxed structure and Cu Kα, 1.54184 Å.

Cell and atoms:
```
data_Sm8Ho6Tl
_symmetry_space_group_name_H-M 'P -3'
_symmetry_Int_Tables_number 147
_symmetry_space_group_name_Hall '-P 3'
_cell_length_a 9.3860
_cell_length_b 9.3860
_cell_length_c 6.4291
_cell_angle_alpha 90.00
_cell_angle_beta 90.00
_cell_angle_gamma 120.00
loop_
_atom_site_label
_atom_site_type_symbol
_atom_site_fract_x
_atom_site_fract_y
_atom_site_fract_z
_atom_site_occupancy
Sm1 Sm 0.0419 0.2709 0.1828 1
Sm2 Sm 0.3333 0.6667 0.1723 1
Ho1 Ho 0.0969 0.4524 0.6738 1
Tl1 Tl 0.0000 0.0000 0.5000 1
```

Main lines, by intensity (2θ = 5–70°):
2theta, I/Imax, hkl
32.29, 100, 2 1 1
33.80, 26, 2 -1 2
29.06, 23, 2 1 0
51.52, 19, 1 4 0
25.94, 18, 0 2 1
29.89, 15, 0 1 2
59.52, 13, 1 3 3
40.62, 13, 3 -2 2
62.12, 12, 6 -4 1
27.75, 11, 0 0 2

=====

Record 5
Diffraction record for Sm2Ho2Tl5. The X-ray diffraction stick pattern is calculated, not measured: it uses a PBE-relaxed structure and Cu Kα, 1.54184 Å.

Cell and atoms:
```
data_Sm2Ho2Tl5
_symmetry_space_group_name_H-M 'C m c e'
_symmetry_Int_Tables_number 64
_symmetry_space_group_name_Hall '-C 2ac 2'
_cell_length_a 16.3458
_cell_length_b 8.0813
_cell_length_c 8.1528
_cell_angle_alpha 90.00
_cell_angle_beta 90.00
_cell_angle_gamma 90.00
loop_
_atom_site_label
_atom_site_type_symbol
_atom_site_fract_x
_atom_site_fract_y
_atom_site_fract_z
_atom_site_occupancy
Sm1 Sm 0.2003 0.0000 0.0000 1
Ho1 Ho 0.0000 0.1541 0.3436 1
Tl1 Tl 0.0000 0.0000 0.0000 1
Tl2 Tl 0.1322 0.1464 0.6441 1
```

Main lines, by intensity (2θ = 5–70°):
2theta, I/Imax, hkl
29.51, 100, 3 1 2
33.06, 98, 4 2 1
35.27, 68, 1 1 3
35.53, 68, 1 3 1
31.49, 48, 5 1 1
31.16, 40, 0 2 2
36.96, 34, 5 1 2
62.78, 29, 7 3 3
32.88, 24, 6 0 0
50.40, 23, 0 4 2

=====

Record 6
Diffraction record for Sm3Ho2Tl4. The X-ray diffraction stick pattern is calculated, not measured: it uses a PBE-relaxed structure and Cu Kα, 1.54184 Å.

Cell and atoms:
```
data_Sm3Ho2Tl4
_symmetry_space_group_name_H-M 'P -3 m 1'
_symmetry_Int_Tables_number 164
_symmetry_space_group_name_Hall '-P 3 2"'
_cell_length_a 5.3460
_cell_length_b 5.3460
_cell_length_c 10.4810
_cell_angle_alpha 90.00
_cell_angle_beta 90.00
_cell_angle_gamma 120.00
loop_
_atom_site_label
_atom_site_type_symbol
_atom_site_fract_x
_atom_site_fract_y
_atom_site_fract_z
_atom_site_occupancy
Sm1 Sm 0.0000 0.0000 0.0000 1
Sm2 Sm 0.3333 0.6667 0.4217 1
Ho1 Ho 0.3333 0.6667 0.7776 1
Tl1 Tl 0.0000 0.0000 0.3432 1
Tl2 Tl 0.3333 0.6667 0.1019 1
```

Main lines, by intensity (2θ = 5–70°):
2theta, I/Imax, hkl
32.10, 100, 0 1 3
33.53, 93, 1 1 0
59.04, 36, 1 2 3
47.09, 35, 2 0 3
56.29, 19, 1 0 6
59.94, 18, 3 0 0
67.13, 11, 0 2 6
20.98, 4, 1 0 1
48.66, 3, 1 1 4
42.59, 2, 1 1 3

=====

Record 7
Diffraction record for SmHoTl4. The X-ray diffraction stick pattern is calculated, not measured: it uses a PBE-relaxed structure and Cu Kα, 1.54184 Å.

Cell and atoms:
```
data_SmHoTl4
_symmetry_space_group_name_H-M 'P 1 m 1'
_symmetry_Int_Tables_number 6
_symmetry_space_group_name_Hall 'P -2y'
_cell_length_a 3.7981
_cell_length_b 5.0854
_cell_length_c 8.7361
_cell_angle_alpha 90.00
_cell_angle_beta 90.04
_cell_angle_gamma 90.00
loop_
_atom_site_label
_atom_site_type_symbol
_atom_site_fract_x
_atom_site_fract_y
_atom_site_fract_z
_atom_site_occupancy
Sm1 Sm 0.0000 0.0000 0.0000 1
Ho1 Ho 0.9985 0.5000 0.4992 1
Tl1 Tl 0.3500 0.0000 0.3363 1
Tl2 Tl 0.3635 0.5000 0.8298 1
Tl3 Tl 0.6333 0.5000 0.1688 1
Tl4 Tl 0.6499 0.0000 0.6637 1
```

Main lines, by intensity (2θ = 5–70°):
2theta, I/Imax, hkl
31.12, 100, 1 1 -1
35.52, 72, 0 1 3
31.22, 50, 1 0 2
35.30, 37, 0 2 0
52.51, 36, 2 1 1
47.83, 31, 1 2 2
61.00, 15, 1 2 -4
60.76, 15, 1 3 -1
48.04, 15, 1 0 -4
61.18, 15, 1 1 5

=====

Record 8
Diffraction record for Sm6Ho5Tl. The X-ray diffraction stick pattern is calculated, not measured: it uses a PBE-relaxed structure and Cu Kα, 1.54184 Å.

Cell and atoms:
```
data_Sm6Ho5Tl
_symmetry_space_group_name_H-M 'I m m m'
_symmetry_Int_Tables_number 71
_symmetry_space_group_name_Hall '-I 2 2'
_cell_length_a 5.0049
_cell_length_b 9.9700
_cell_length_c 15.1738
_cell_angle_alpha 90.00
_cell_angle_beta 90.00
_cell_angle_gamma 90.00
loop_
_atom_site_label
_atom_site_type_symbol
_atom_site_fract_x
_atom_site_fract_y
_atom_site_fract_z
_atom_site_occupancy
Sm1 Sm 0.0000 0.2456 0.0000 1
Sm2 Sm 0.0000 0.2539 0.3338 1
Ho1 Ho 0.0000 0.0000 0.1687 1
Ho2 Ho 0.0000 0.0000 0.5000 1
Ho3 Ho 0.0000 0.5000 0.1639 1
Tl1 Tl 0.0000 0.5000 0.5000 1
```

Main lines, by intensity (2θ = 5–70°):
2theta, I/Imax, hkl
30.88, 100, 1 2 3
35.50, 17, 0 0 6
35.89, 17, 2 0 0
36.03, 17, 0 4 0
60.89, 14, 1 2 9
61.40, 14, 3 2 3
61.60, 14, 1 6 3
64.34, 12, 2 4 6
51.37, 12, 2 0 6
51.48, 12, 0 4 6